[1]
Diffraction record for Tb4Sm3Th2. The PXRD pattern is simulated, not measured: it uses the PBE geometry in Alexandria and Cu Kα (λ = 1.5418 Å).
Neutral-atom scattering factors, no anomalous dispersion.

Atomic structure:
```
data_Tb4Sm3Th2
_space_group_name_H-M_alt 'P 3 m 1'
_space_group_IT_number 156
_cell_length_a 3.5738
_cell_length_b 3.5738
_cell_length_c 26.8270
_cell_angle_alpha 90.00
_cell_angle_beta 90.00
_cell_angle_gamma 120.00
loop_
_space_group_symop_operation_xyz
'x,y,z'
'-y,x-y,z'
'-x+y,-x,z'
'-y,-x,z'
'-x+y,y,z'
'x,x-y,z'
loop_
_atom_site_label
_atom_site_type_symbol
_atom_site_fract_x
_atom_site_fract_y
_atom_site_fract_z
Tb1 Tb 0.0000 0.0000 0.0000
Tb2 Tb 0.0000 0.0000 0.2175
Tb3 Tb 0.3333 0.6667 0.3235
Tb4 Tb 0.3333 0.6667 0.5434
Sm1 Sm 0.0000 0.0000 0.4328
Sm2 Sm 0.3333 0.6667 0.1062
Sm3 Sm 0.3333 0.6667 0.7630
Th1 Th 0.0000 0.0000 0.6512
Th2 Th 0.0000 0.0000 0.8744
```

Top 10 peaks for 2θ = 10–90°, most intense first:
(0 1 5), 33.4°, I = 100; (1 0 4), 31.8°, I = 62; (1 0 0), 28.8°, I = 50; (0 0 9), 30.0°, I = 50; (1 1 9), 60.4°, I = 42; (1 1 0), 51.1°, I = 38; (1 0 9), 42.1°, I = 33; (0 1 14), 56.5°, I = 32; (2 0 5), 62.5°, I = 18; (1 2 5), 84.8°, I = 14

[2]
Diffraction record for Tb8SmTh4. The PXRD pattern is simulated, not measured: it uses the PBE geometry in Alexandria and Cu Kα (λ = 1.5418 Å).
Neutral-atom scattering factors, no anomalous dispersion.

Atomic structure:
```
data_Tb8SmTh4
_space_group_name_H-M_alt 'R -3 m'
_space_group_IT_number 166
_space_group_name_Hall '-R 3 2"'
_cell_length_a 7.3966
_cell_length_b 7.3966
_cell_length_c 26.8067
_cell_angle_alpha 90.00
_cell_angle_beta 90.00
_cell_angle_gamma 120.00
loop_
_atom_site_label
_atom_site_type_symbol
_atom_site_fract_x
_atom_site_fract_y
_atom_site_fract_z
Tb1 Tb 0.0000 0.0000 0.2215
Tb2 Tb 0.0400 0.5200 0.7698
Sm1 Sm 0.0000 0.0000 0.5000
Th1 Th 0.0000 0.0000 0.0000
Th2 Th 0.0000 0.5000 0.0000
```

Top 10 peaks for 2θ = 10–90°, most intense first:
(0 2 4), 30.9°, I = 100; (2 0 5), 32.6°, I = 47; (2 0 8), 38.9°, I = 32; (0 0 9), 30.0°, I = 32; (2 2 0), 49.3°, I = 30; (0 2 1), 28.1°, I = 25; (2 2 9), 58.8°, I = 25; (0 2 13), 52.8°, I = 19; (4 0 4), 59.3°, I = 14; (0 2 22), 85.2°, I = 12

[3]
Diffraction record for Tb2Sm5Th. The PXRD pattern is simulated, not measured: it uses the PBE geometry in Alexandria and Cu Kα (λ = 1.5418 Å).
Neutral-atom scattering factors, no anomalous dispersion.

Atomic structure:
```
data_Tb2Sm5Th
_space_group_name_H-M_alt 'P b a m'
_space_group_IT_number 55
_cell_length_a 7.207
_cell_length_b 14.423
_cell_length_c 5.104
_cell_angle_alpha 90.00
_cell_angle_beta 90.00
_cell_angle_gamma 90.00
loop_
_space_group_symop_operation_xyz
'x,y,z'
'-x,-y,-z'
'-x,-y,z'
'x,y,-z'
'x+1/2,-y+1/2,-z'
'-x+1/2,y+1/2,z'
'-x+1/2,y+1/2,-z'
'x+1/2,-y+1/2,z'
loop_
_atom_site_label
_atom_site_type_symbol
_atom_site_fract_x
_atom_site_fract_y
_atom_site_fract_z
Tb1 Tb 0.242 0.123 0.000
Sm1 Sm 0.000 0.500 0.500
Sm2 Sm 0.003 0.751 0.500
Sm3 Sm 0.246 0.877 0.000
Th1 Th 0.000 0.000 0.500
```

Top 10 peaks for 2θ = 10–90°, most intense first:
(2 0 1), 30.4°, I = 100; (0 0 2), 35.2°, I = 51; (2 0 3), 60.2°, I = 43; (2 4 2), 50.6°, I = 36; (2 8 3), 82.4°, I = 18; (2 4 4), 85.1°, I = 14; (0 8 2), 63.2°, I = 12; (4 8 0), 74.4°, I = 4; (6 4 0), 85.1°, I = 3; (0 0 4), 74.3°, I = 2

[4]
Diffraction record for TbSm6Th2. The PXRD pattern is simulated, not measured: it uses the PBE geometry in Alexandria and Cu Kα (λ = 1.5418 Å).
Neutral-atom scattering factors, no anomalous dispersion.

Atomic structure:
```
data_TbSm6Th2
_space_group_name_H-M_alt 'P -6 m 2'
_space_group_IT_number 187
_space_group_name_Hall 'P -6 2'
_cell_length_a 3.6040
_cell_length_b 3.6040
_cell_length_c 26.8347
_cell_angle_alpha 90.00
_cell_angle_beta 90.00
_cell_angle_gamma 120.00
loop_
_atom_site_label
_atom_site_type_symbol
_atom_site_fract_x
_atom_site_fract_y
_atom_site_fract_z
Tb1 Tb 0.0000 0.0000 0.0000
Sm1 Sm 0.0000 0.0000 0.2194
Sm2 Sm 0.0000 0.0000 0.4366
Sm3 Sm 0.3333 0.6667 0.1081
Th1 Th 0.3333 0.6667 0.3294
```

Top 10 peaks for 2θ = 10–90°, most intense first:
(1 0 5), 33.2°, I = 100; (1 0 4), 31.6°, I = 66; (0 0 9), 30.0°, I = 52; (1 0 0), 28.6°, I = 47; (1 1 9), 60.0°, I = 44; (1 1 0), 50.7°, I = 39; (1 0 14), 56.3°, I = 32; (1 0 9), 41.9°, I = 32; (1 0 3), 30.3°, I = 21; (2 0 5), 61.9°, I = 17

[5]
Diffraction record for Tb6Sm2Th3. The PXRD pattern is simulated, not measured: it uses the PBE geometry in Alexandria and Cu Kα (λ = 1.5418 Å).
Neutral-atom scattering factors, no anomalous dispersion.

Atomic structure:
```
data_Tb6Sm2Th3
_space_group_name_H-M_alt 'R -3 m'
_space_group_IT_number 166
_space_group_name_Hall '-R 3 2"'
_cell_length_a 3.5858
_cell_length_b 3.5858
_cell_length_c 95.6068
_cell_angle_alpha 90.00
_cell_angle_beta 90.00
_cell_angle_gamma 120.00
loop_
_atom_site_label
_atom_site_type_symbol
_atom_site_fract_x
_atom_site_fract_y
_atom_site_fract_z
Tb1 Tb 0.0000 0.0000 0.0896
Tb2 Tb 0.0000 0.0000 0.1819
Tb3 Tb 0.0000 0.0000 0.3633
Sm1 Sm 0.0000 0.0000 0.4544
Th1 Th 0.0000 0.0000 0.0000
Th2 Th 0.0000 0.0000 0.2732
```

Top 10 peaks for 2θ = 10–90°, most intense first:
(0 1 11), 30.6°, I = 100; (1 0 22), 35.5°, I = 67; (0 0 33), 30.9°, I = 32; (1 1 33), 60.8°, I = 29; (1 1 0), 50.9°, I = 25; (0 1 44), 51.3°, I = 23; (2 0 11), 60.6°, I = 15; (1 0 55), 61.1°, I = 14; (0 2 22), 63.6°, I = 13; (1 2 11), 83.0°, I = 12

[6]
Diffraction record for TbSm4Th2. The PXRD pattern is simulated, not measured: it uses the PBE geometry in Alexandria and Cu Kα (λ = 1.5418 Å).
Neutral-atom scattering factors, no anomalous dispersion.

Atomic structure:
```
data_TbSm4Th2
_space_group_name_H-M_alt 'P 1 2/m 1'
_space_group_IT_number 10
_cell_length_a 4.943
_cell_length_b 5.102
_cell_length_c 9.884
_cell_angle_alpha 90.00
_cell_angle_beta 90.06
_cell_angle_gamma 90.00
loop_
_space_group_symop_operation_xyz
'x,y,z'
'-x,-y,-z'
'-x,y,-z'
'x,-y,z'
loop_
_atom_site_label
_atom_site_type_symbol
_atom_site_fract_x
_atom_site_fract_y
_atom_site_fract_z
Tb1 Tb 0.000 0.000 0.000
Sm1 Sm 0.000 0.500 0.257
Sm2 Sm 0.500 0.000 0.251
Th1 Th 0.000 0.000 0.500
Th2 Th 0.500 0.500 0.000
```

Top 10 peaks for 2θ = 10–90°, most intense first:
(1 1 2), 31.0°, I = 100; (2 0 0), 36.4°, I = 33; (3 1 2), 62.1°, I = 28; (2 2 0), 51.5°, I = 25; (0 2 0), 35.2°, I = 18; (1 3 2), 60.6°, I = 15; (2 2 4), 64.7°, I = 12; (3 3 2), 84.1°, I = 12; (2 0 4), 52.4°, I = 12; (1 0 1), 20.1°, I = 9

[7]
Diffraction record for Tb5Sm2Th3. The PXRD pattern is simulated, not measured: it uses the PBE geometry in Alexandria and Cu Kα (λ = 1.5418 Å).
Neutral-atom scattering factors, no anomalous dispersion.

Atomic structure:
```
data_Tb5Sm2Th3
_space_group_name_H-M_alt 'C 1 2/m 1'
_space_group_IT_number 12
_cell_length_a 11.326
_cell_length_b 5.054
_cell_length_c 11.338
_cell_angle_alpha 90.00
_cell_angle_beta 90.14
_cell_angle_gamma 90.00
loop_
_space_group_symop_operation_xyz
'x,y,z'
'-x,-y,-z'
'-x,y,-z'
'x,-y,z'
'x+1/2,y+1/2,z'
'-x+1/2,-y+1/2,-z'
'-x+1/2,y+1/2,-z'
'x+1/2,-y+1/2,z'
loop_
_atom_site_label
_atom_site_type_symbol
_atom_site_fract_x
_atom_site_fract_y
_atom_site_fract_z
Tb1 Tb 0.000 0.000 0.000
Tb2 Tb 0.199 0.500 0.103
Tb3 Tb 0.200 0.000 0.598
Sm1 Sm 0.097 0.500 0.797
Th1 Th 0.000 0.500 0.500
Th2 Th 0.099 0.000 0.301
```

Top 10 peaks for 2θ = 10–90°, most intense first:
(1 1 3), 30.6°, I = 100; (4 0 2), 35.4°, I = 34; (1 3 3), 60.7°, I = 29; (4 2 2), 51.0°, I = 24; (0 2 0), 35.5°, I = 17; (5 1 -5), 60.6°, I = 15; (6 2 -2), 63.7°, I = 13; (6 0 -2), 51.0°, I = 12; (5 3 -5), 83.1°, I = 9; (2 4 -4), 85.9°, I = 7

[8]
Diffraction record for Tb7SmTh4. The PXRD pattern is simulated, not measured: it uses the PBE geometry in Alexandria and Cu Kα (λ = 1.5418 Å).
Neutral-atom scattering factors, no anomalous dispersion.

Atomic structure:
```
data_Tb7SmTh4
_space_group_name_H-M_alt 'P -3 m 1'
_space_group_IT_number 164
_space_group_name_Hall '-P 3 2"'
_cell_length_a 3.5837
_cell_length_b 3.5837
_cell_length_c 34.7650
_cell_angle_alpha 90.00
_cell_angle_beta 90.00
_cell_angle_gamma 120.00
loop_
_atom_site_label
_atom_site_type_symbol
_atom_site_fract_x
_atom_site_fract_y
_atom_site_fract_z
Tb1 Tb 0.0000 0.0000 0.0000
Tb2 Tb 0.0000 0.0000 0.2514
Tb3 Tb 0.3333 0.6667 0.1643
Tb4 Tb 0.3333 0.6667 0.4145
Sm1 Sm 0.0000 0.0000 0.5000
Th1 Th 0.3333 0.6667 0.6675
Th2 Th 0.3333 0.6667 0.9166
```

Top 10 peaks for 2θ = 10–90°, most intense first:
(1 0 4), 30.6°, I = 100; (0 1 8), 35.5°, I = 67; (0 0 12), 30.9°, I = 32; (1 1 12), 60.8°, I = 29; (1 1 0), 51.0°, I = 24; (1 0 16), 51.3°, I = 23; (0 2 4), 60.6°, I = 15; (0 1 20), 61.1°, I = 14; (2 0 8), 63.7°, I = 13; (2 1 4), 83.1°, I = 12